Diffraction record for Ba3LaZnReWO12. The PXRD pattern is calculated, not measured: it uses the GGA+U geometry in Alexandria and a wavelength of 1.5418 Å.
Neutral-atom scattering factors, no anomalous dispersion.

Largest 10 diffraction maxima, low angle first, 10° ≤ 2θ ≤ 90°:
- 2θ = 18.7°, I = 16
- 2θ = 21.7°, I = 12
- 2θ = 28.3°, I = 94
- 2θ = 31.0°, I = 100
- 2θ = 36.4°, I = 14
- 2θ = 42.4°, I = 52
- 2θ = 53.5°, I = 31
- 2θ = 55.1°, I = 20
- 2θ = 64.6°, I = 19
- 2θ = 71.9°, I = 14

Atomic structure:
a b c (Å): 10.0683 10.0683 10.0683
angles (deg): 33.32 33.32 33.32
Fractional positions:
Ba  0.0000  0.0000  0.0000
Ba  0.1600  0.1600  0.1600
Ba  0.5851  0.5851  0.5851
La  0.4053  0.4053  0.4053
Zn  0.2890  0.2890  0.2890
Re  0.8746  0.8746  0.8746
W  0.7173  0.7173  0.7173
O  0.0087  0.5092  0.5092
O  0.0746  0.0746  0.6057
O  0.0746  0.6057  0.0746
O  0.1556  0.6845  0.6845
O  0.4262  0.9133  0.9133
O  0.5092  0.0087  0.5092
O  0.5092  0.5092  0.0087
O  0.6057  0.0746  0.0746
O  0.6845  0.1556  0.6845
O  0.6845  0.6845  0.1556
O  0.9133  0.4262  0.9133
O  0.9133  0.9133  0.4262